No. 1
Computed powder diffraction line list
Compound: La3TcN4
Radiation: CuKα
Structure: a structure optimized by DFT (GGA-PBE)

The 12 most intense peaks (10 to 90 degrees two-theta), low angle first:
| two_theta | I/Imax |
| --- | --- |
| 25.43 | 16 |
| 26.10 | 49 |
| 30.30 | 62 |
| 30.87 | 100 |
| 32.73 | 44 |
| 42.34 | 24 |
| 45.23 | 32 |
| 46.45 | 17 |
| 56.46 | 23 |
| 56.94 | 40 |
| 57.27 | 17 |
| 76.38 | 18 |

Structure:
```
16
Lattice="7.8198 0.0000 0.0000 0.0000 7.0059 0.0000 0.0000 0.0000 5.4715" Properties=species:S:1:pos:R:3 pbc="T T T"
La 0.0000 0.9445 0.0000
La 1.9141 2.3479 2.7533
La 1.9959 4.6580 0.0175
La 3.9099 6.0614 2.7358
La 5.8240 4.6580 0.0175
La 5.9058 2.3479 2.7533
Tc 0.0000 5.7714 2.4940
Tc 3.9099 1.2345 5.2297
N 0.0000 0.7109 2.6647
N 0.0000 5.6704 0.4489
N 1.7306 4.8707 2.6688
N 2.1793 2.1352 5.4046
N 3.9099 1.3355 3.1847
N 3.9099 6.2950 5.4005
N 5.6405 2.1352 5.4046
N 6.0892 4.8707 2.6688
```


No. 2
Computed powder diffraction line list
Compound: LaZn2TcN4
Radiation: CuKα
Structure: a structure optimized by DFT (GGA-PBE)

The 12 most intense peaks (10 to 90 degrees two-theta), low angle first:
| two_theta | I/Imax |
| --- | --- |
| 23.10 | 9 |
| 32.90 | 41 |
| 33.68 | 100 |
| 47.21 | 22 |
| 49.52 | 7 |
| 59.24 | 38 |
| 60.74 | 20 |
| 68.98 | 6 |
| 70.82 | 9 |
| 78.56 | 7 |
| 79.00 | 8 |
| 82.51 | 7 |

Structure:
```
8
Lattice="-2.7228 2.7228 3.6813 2.7228 -2.7228 3.6813 2.7228 2.7228 -3.6813" Properties=species:S:1:pos:R:3 pbc="T T T"
La 0.0000 0.0000 0.0000
Zn 2.7228 0.0000 1.8406
Zn 0.0000 2.7228 1.8406
Tc 0.0000 0.0000 3.6813
N 1.1116 -1.1116 2.6073
N 1.6112 1.6112 1.0740
N -1.1116 1.1116 2.6073
N 1.1116 1.1116 4.7552
```


What did the first record say?
Computed powder diffraction line list
Compound: La3TcN4
Radiation: CuKα
Structure: a structure optimized by DFT (GGA-PBE)

The 12 most intense peaks (10 to 90 degrees two-theta), low angle first:
| two_theta | I/Imax |
| --- | --- |
| 25.43 | 16 |
| 26.10 | 49 |
| 30.30 | 62 |
| 30.87 | 100 |
| 32.73 | 44 |
| 42.34 | 24 |
| 45.23 | 32 |
| 46.45 | 17 |
| 56.46 | 23 |
| 56.94 | 40 |
| 57.27 | 17 |
| 76.38 | 18 |

Structure:
```
16
Lattice="7.8198 0.0000 0.0000 0.0000 7.0059 0.0000 0.0000 0.0000 5.4715" Properties=species:S:1:pos:R:3 pbc="T T T"
La 0.0000 0.9445 0.0000
La 1.9141 2.3479 2.7533
La 1.9959 4.6580 0.0175
La 3.9099 6.0614 2.7358
La 5.8240 4.6580 0.0175
La 5.9058 2.3479 2.7533
Tc 0.0000 5.7714 2.4940
Tc 3.9099 1.2345 5.2297
N 0.0000 0.7109 2.6647
N 0.0000 5.6704 0.4489
N 1.7306 4.8707 2.6688
N 2.1793 2.1352 5.4046
N 3.9099 1.3355 3.1847
N 3.9099 6.2950 5.4005
N 5.6405 2.1352 5.4046
N 6.0892 4.8707 2.6688
```